Calculated powder X-ray diffraction pattern
Compound: KBiO3
Radiation: Cu Ka
Structure: DFT lattice parameters and positions (GGA-PBE)
No peak broadening, texture or thermal motion is included.

Main lines, low angle first (10 to 90 degrees two-theta):
d 7.318, 2θ = 12.1°, I 29; d 7.242, 2θ = 12.2°, I 100; d 5.097, 2θ = 17.4°, I 38; d 3.250, 2θ = 27.4°, I 90; d 3.230, 2θ = 27.6°, I 55; d 3.192, 2θ = 27.9°, I 24; d 2.761, 2θ = 32.4°, I 23; d 2.751, 2θ = 32.5°, I 51; d 2.729, 2θ = 32.8°, I 21; d 2.715, 2θ = 33.0°, I 21

Atomic structure:
```
30
Lattice="7.103 -5.145 0.000 7.103 5.145 0.000 -7.084 0.000 7.318" Properties=species:S:1:pos:R:3 pbc="T T T"
K 3.551 2.572 0.000
K 0.021 3.438 5.057
K 7.100 3.438 2.261
K 3.551 -2.572 0.000
K 0.021 -3.438 5.057
K 7.100 -3.438 2.261
Bi -2.423 0.000 4.836
Bi 3.561 1.635 3.659
Bi 5.970 0.000 1.169
Bi 1.152 0.000 6.149
Bi 3.561 -1.635 3.659
Bi 9.545 0.000 2.482
O -2.506 0.000 2.668
O 2.361 2.958 2.487
O -2.674 0.000 6.958
O -0.313 0.000 4.538
O 2.030 1.693 5.202
O 5.092 1.693 2.116
O 2.536 0.000 2.663
O 7.103 1.436 0.000
O 4.761 2.958 4.830
O 2.361 -2.958 2.487
O 7.103 -1.436 0.000
O 4.586 0.000 4.655
O 2.030 -1.693 5.202
O 5.092 -1.693 2.116
O 7.434 0.000 2.780
O 9.796 0.000 0.360
O 4.761 -2.958 4.830
O 9.628 0.000 4.650
```